CaHg2: calculated PXRD pattern (Cu Kα, 1.54184 Å), based on a PBE-relaxed structure.

Crystal structure
a b c (Å): 5.4058 5.4058 3.5899
angles (deg): 90.00 90.00 120.00
Space group P-3m1 (No. 164)
Asymmetric unit:
Ca1 0.0000 0.0000 0.0000 (multiplicity 1)
Hg1 0.3333 0.6667 0.0532 (multiplicity 2)

Largest 8 diffraction maxima, by angle, 2θ from 10° to 90°:
two_theta	intensity	(hkl)
18.96	47	1 0 0
24.80	62	0 0 1
31.40	40	1 0 1
33.14	100	1 1 0
41.84	96	1 1 1
59.21	19	3 0 0
62.07	21	1 1 2
65.19	26	3 0 1

Ca2Hg: calculated PXRD pattern (Cu Kα, 1.54184 Å), based on a PBE-relaxed structure.

Crystal structure
a b c (Å): 7.4415 5.1303 9.9187
angles (deg): 90.00 90.00 90.00
Space group Pnma (No. 62)
Asymmetric unit:
Ca1 0.0294 0.2500 0.1886 (multiplicity 4)
Ca2 0.1592 0.2500 0.5679 (multiplicity 4)
Hg1 0.2311 0.2500 0.8862 (multiplicity 4)

Largest 8 diffraction maxima, by angle, 2θ from 10° to 90°:
two_theta	intensity	(hkl)
19.48	56	0 1 1
21.53	100	1 0 2
22.88	93	1 1 1
23.92	44	2 0 0
31.03	92	2 1 1
32.21	72	0 1 3
34.98	46	0 2 0
41.45	67	1 2 2

Ca3Hg2: calculated PXRD pattern (Cu Kα, 1.54184 Å), based on a PBE-relaxed structure.

Crystal structure
a b c (Å): 8.6766 8.6766 4.1214
angles (deg): 90.00 90.00 90.00
Space group P4/mbm (No. 127)
Asymmetric unit:
Ca1 0.0000 0.0000 0.0000 (multiplicity 2)
Ca2 0.1539 0.3461 0.5000 (multiplicity 4)
Hg1 0.1444 0.6444 0.0000 (multiplicity 4)

Largest 8 diffraction maxima, by angle, 2θ from 10° to 90°:
two_theta	intensity	(hkl)
14.44	21	1 1 0
21.56	29	0 0 1
22.92	45	2 1 0
31.67	100	2 1 1
32.64	33	3 1 0
39.45	20	3 1 1
55.79	14	3 1 2
61.83	23	5 2 1

CaHg3: calculated PXRD pattern (Cu Kα, 1.54184 Å), based on a PBE-relaxed structure.

Crystal structure
a b c (Å): 6.7568 6.7568 5.2109
angles (deg): 90.00 90.00 120.00
Space group P6_3/mmc (No. 194)
Asymmetric unit:
Ca1 0.3333 0.6667 0.2500 (multiplicity 2)
Hg1 0.1634 0.3269 0.7500 (multiplicity 6)

Largest 8 diffraction maxima, by angle, 2θ from 10° to 90°:
two_theta	intensity	(hkl)
22.85	15	1 0 1
30.55	24	2 0 0
34.42	24	0 0 2
35.18	100	2 0 1
54.31	19	2 2 0
62.15	19	2 0 3
65.90	22	2 2 2
66.37	16	4 0 1

CaHg: calculated PXRD pattern (Cu Kα, 1.54184 Å), based on a PBE-relaxed structure.

Crystal structure
a b c (Å): 3.8119 3.8119 3.8119
angles (deg): 90.00 90.00 90.00
Space group Pm-3m (No. 221)
Asymmetric unit:
Ca1 0.0000 0.0000 0.0000 (multiplicity 1)
Hg1 0.5000 0.5000 0.5000 (multiplicity 1)

Largest 8 diffraction maxima, by angle, 2θ from 10° to 90°:
two_theta	intensity	(hkl)
23.34	50	1 0 0
33.24	100	1 1 0
41.01	16	1 1 1
47.72	18	2 0 0
53.77	23	2 1 0
59.39	38	2 1 1
69.78	12	2 2 0
79.51	16	3 1 0

CaHg2: calculated PXRD pattern (Cu Kα, 1.54184 Å), based on a PBE-relaxed structure.

Crystal structure
a b c (Å): 5.0173 5.0173 3.6189
angles (deg): 90.00 90.00 120.00
Space group P6/mmm (No. 191)
Asymmetric unit:
Ca1 0.0000 0.0000 0.0000 (multiplicity 1)
Hg1 0.3333 0.6667 0.5000 (multiplicity 2)

Largest 8 diffraction maxima, by angle, 2θ from 10° to 90°:
two_theta	intensity	(hkl)
20.44	49	1 0 0
24.60	56	0 0 1
32.19	80	1 0 1
35.79	100	1 1 0
43.92	76	1 1 1
48.90	25	2 0 1
62.06	24	2 1 1
63.38	38	1 1 2